Structure and computed X-ray powder pattern of SrMnF6 (a structure optimized by DFT (GGA+U); CuKα).
Kinematic intensities with the Lorentz-polarization factor, no thermal factor.

Largest 10 diffraction maxima, most intense first, 5° ≤ 2θ ≤ 70°:
- 2θ 26.22, intensity 100, (1 0 2)
- 2θ 21.09, intensity 80, (1 0 1)
- 2θ 49.96, intensity 52, (2 -1 4)
- 2θ 33.15, intensity 31, (1 0 3)
- 2θ 38.09, intensity 31, (1 1 2)
- 2θ 55.47, intensity 24, (3 -1 2)
- 2θ 39.84, intensity 21, (2 0 1)
- 2θ 33.40, intensity 20, (1 1 0)
- 2θ 42.95, intensity 20, (2 0 2)
- 2θ 59.69, intensity 18, (3 0 0)

Structural model:
```
data_SrMnF6
_chemical_formula_sum 'Sr2 Mn2 F12'
_cell_length_a 5.366
_cell_length_b 5.366
_cell_length_c 9.964
_cell_angle_alpha 90.00
_cell_angle_beta 90.00
_cell_angle_gamma 120.00
_space_group_name_H-M_alt 'P 1'
_space_group_IT_number 1
loop_
_space_group_symop_operation_xyz
'x,y,z'
loop_
_atom_site_label
_atom_site_type_symbol
_atom_site_fract_x
_atom_site_fract_y
_atom_site_fract_z
_atom_site_occupancy
Sr1 Sr 0.333 0.667 0.250 1
Sr2 Sr 0.667 0.333 0.750 1
Mn1 Mn 0.000 0.000 0.000 1
Mn2 Mn 0.000 0.000 0.500 1
F1 F 0.016 0.288 0.607 1
F2 F 0.016 0.729 0.893 1
F3 F 0.271 0.288 0.893 1
F4 F 0.271 0.984 0.607 1
F5 F 0.288 0.016 0.107 1
F6 F 0.288 0.271 0.393 1
F7 F 0.712 0.729 0.607 1
F8 F 0.712 0.984 0.893 1
F9 F 0.729 0.016 0.393 1
F10 F 0.729 0.712 0.107 1
F11 F 0.984 0.271 0.107 1
F12 F 0.984 0.712 0.393 1
```